[1]
Calculated X-ray diffraction stick pattern
Compound: ZnGaCu3Se4
Radiation: λ = 1.5418 Å (Cu Kα)
Structure: DFT lattice parameters and positions (PBE)
Peak positions follow from Bragg's law for the DFT cell and can differ from measured ones.

Most intense lines, 10° ≤ 2θ ≤ 80°, in order of rising 2θ:
| 2θ/deg | d (Å) | I/Imax | (hkl) |
| --- | --- | --- | --- |
| 15.37 | 5.766 | 8 | 1 0 0 |
| 21.80 | 4.077 | 8 | 1 1 0 |
| 26.78 | 3.329 | 86 | 1 1 1 |
| 34.79 | 2.578 | 5 | 2 1 0 |
| 44.44 | 2.038 | 100 | 2 2 0 |
| 52.65 | 1.738 | 38 | 3 1 1 |
| 64.67 | 1.441 | 16 | 4 0 0 |
| 71.30 | 1.323 | 15 | 3 3 1 |

Structural model:
Unit cell a=5.7656 b=5.7656 c=5.7656 alpha=90.00 beta=90.00 gamma=90.00
Positions (direct):
Zn1 0.0000 0.0000 0.0000
Ga1 0.5000 0.5000 0.5000
Cu1 0.0000 0.5000 0.5000
Cu2 0.5000 0.0000 0.5000
Cu3 0.5000 0.5000 0.0000
Se1 0.2488 0.2488 0.7512
Se2 0.2488 0.7512 0.2488
Se3 0.7512 0.2488 0.2488
Se4 0.7512 0.7512 0.7512

[2]
Calculated X-ray diffraction stick pattern
Compound: LaIn3Se
Radiation: λ = 1.5418 Å (Cu Kα)
Structure: DFT lattice parameters and positions (PBE)
Peak positions follow from Bragg's law for the DFT cell and can differ from measured ones.

Most intense lines, 10° ≤ 2θ ≤ 80°, in order of rising 2θ:
| 2θ/deg | d (Å) | I/Imax | (hkl) |
| --- | --- | --- | --- |
| 22.99 | 3.868 | 15 | 1 1 0 |
| 28.26 | 3.158 | 100 | 1 1 1 |
| 32.74 | 2.735 | 99 | 2 0 0 |
| 46.98 | 1.934 | 71 | 2 2 0 |
| 55.73 | 1.649 | 43 | 3 1 1 |
| 58.44 | 1.579 | 24 | 2 2 2 |
| 75.80 | 1.255 | 17 | 3 3 1 |
| 78.13 | 1.223 | 31 | 4 2 0 |

Structural model:
Unit cell a=5.4705 b=5.4705 c=5.4705 alpha=90.00 beta=90.00 gamma=90.00
Positions (direct):
La1 0.0000 0.0000 0.0000
In1 0.0000 0.5000 0.5000
In2 0.5000 0.0000 0.5000
In3 0.5000 0.5000 0.0000
Se1 0.5000 0.5000 0.5000